# Pr6Bi3H
Simulated powder XRD pattern, CuKα. Input: DFT lattice parameters and positions (GGA-PBE).
Neutral-atom scattering factors, no anomalous dispersion.

Most intense lines, 2θ = 10–90°, by angle:
(hkl)  2theta  d_spacing  I_rel
1 3 1  22.8  3.895  35.5
1 1 2  29.0  3.082  52.3
2 4 1  30.1  2.971  35.6
3 3 1  30.9  2.898  100.0
4 2 1  34.3  2.617  32.9
0 4 2  35.7  2.516  33.4

Structure:
a = 12.251 Å, b = 15.942 Å, c = 6.497 Å
α = 90.00°, β = 90.00°, γ = 90.00°
Space group Cmc2_1 (No. 36)
Unique sites:
Pr  0.000  0.082  0.000 [4 per cell]
Pr  0.000  0.279  0.743 [4 per cell]
Pr  0.181  0.275  0.220 [8 per cell]
Pr  0.193  0.453  0.655 [8 per cell]
Bi  0.000  0.414  0.318 [4 per cell]
Bi  0.136  0.104  0.513 [8 per cell]
H  0.000  0.225  0.081 [4 per cell]